(1)
Diffraction record for BaHo2CuO5. The XRD peak list is simulated, not measured: it uses a DFT-relaxed cell (PBE, the Materials Project) and CuKα.
Neutral-atom scattering factors, no anomalous dispersion.

Peak list (10 most intense, 2θ from 5° to 70°, sorted by position)
hkl 3 1 1, 2θ 29.69, I 100
hkl 1 1 2, 2θ 30.26, I 62
hkl 0 2 0, 2θ 31.45, I 46
hkl 4 0 1, 2θ 31.82, I 21
hkl 2 0 3, 2θ 40.36, I 15
hkl 4 2 1, 2θ 45.35, I 29
hkl 3 2 2, 2θ 46.38, I 15
hkl 3 3 1, 2θ 54.91, I 18
hkl 4 2 3, 2θ 58.70, I 16
hkl 7 1 2, 2θ 61.21, I 14

Atomic structure:
```
36
Lattice="12.2192 0.0000 0.0000 0.0000 5.6885 0.0000 0.0000 0.0000 7.2047" Properties=species:S:1:pos:R:3 pbc="T T T"
Ba 1.1704 1.4221 0.4963
Ba 4.9392 4.2664 4.0987
Ba 7.2800 1.4221 3.1060
Ba 11.0489 4.2664 6.7084
Ho 0.9030 4.2664 2.8597
Ho 2.6026 1.4221 4.4200
Ho 3.5070 4.2664 0.8176
Ho 5.2066 1.4221 6.4621
Ho 7.0126 4.2664 0.7427
Ho 8.7122 1.4221 6.3872
Ho 9.6167 4.2664 2.7848
Ho 11.3162 1.4221 4.3451
Cu 1.9629 4.2664 5.6360
Cu 4.1468 1.4221 2.0336
Cu 8.0725 4.2664 5.1711
Cu 10.2564 1.4221 1.5687
O 0.8316 2.8731 4.7617
O 0.8316 5.6596 4.7617
O 1.2242 4.2664 0.6150
O 2.7871 0.0177 2.5679
O 2.7871 2.8265 2.5679
O 3.3226 2.8620 6.1702
O 3.3226 5.6708 6.1702
O 4.8855 1.4221 4.2174
O 5.2780 0.0289 1.1593
O 5.2780 2.8154 1.1593
O 6.9412 2.8731 6.0454
O 6.9412 5.6596 6.0454
O 7.3338 4.2664 2.9874
O 8.8967 0.0177 1.0345
O 8.8967 2.8265 1.0345
O 9.4322 2.8620 4.6369
O 9.4322 5.6708 4.6369
O 10.9951 1.4221 6.5897
O 11.3876 0.0289 2.4430
O 11.3876 2.8154 2.4430
```



(2)
Diffraction record for La5C2Cl9. The XRD peak list is simulated, not measured: it uses a DFT-relaxed cell (PBE, the Materials Project) and CuKα.
Neutral-atom scattering factors, no anomalous dispersion.

Peak list (10 most intense, 2θ from 5° to 70°, sorted by position)
hkl 1 0 0, 2θ 11.57, I 37
hkl 1 2 -1, 2θ 22.32, I 24
hkl 2 0 -1, 2θ 24.77, I 34
hkl 1 -1 2, 2θ 25.06, I 25
hkl 1 2 -2, 2θ 26.31, I 25
hkl 0 0 4, 2θ 29.85, I 100
hkl 1 -2 0, 2θ 30.69, I 36
hkl 3 1 0, 2θ 31.35, I 27
hkl 2 3 2, 2θ 33.65, I 37
hkl 2 3 -2, 2θ 36.27, I 34

Atomic structure:
```
32
Lattice="8.7040 0.0000 0.0000 4.1975 7.6835 0.0000 0.9072 0.7010 11.9729" Properties=species:S:1:pos:R:3 pbc="T T T"
La 1.7634 1.5621 0.0818
La 4.5700 6.0913 3.2379
La 2.9999 1.7331 5.8988
La 4.4559 3.7376 8.9000
La 7.8787 7.4776 9.3616
La 5.9300 0.9069 2.6113
La 9.3528 4.6469 3.0729
La 10.8088 6.6514 6.0741
La 9.2387 2.2932 8.7350
La 12.0453 6.8224 11.8911
C 2.8071 2.0667 9.7214
C 2.9134 1.9065 8.2507
C 10.8952 6.4780 3.7222
C 11.0016 6.3178 2.2515
Cl 0.4536 0.3505 5.9864
Cl 4.9138 6.9734 9.2034
Cl 3.1812 3.0380 3.0708
Cl 4.2888 4.6040 6.0587
Cl 5.3944 6.4057 0.3703
Cl 4.7371 4.2185 11.7232
Cl 7.5053 7.2391 3.2897
Cl 7.9486 6.7106 6.5895
Cl 6.4983 3.9005 2.7590
Cl 4.3520 0.0000 0.0000
Cl 7.3104 4.4840 9.2138
Cl 5.8601 1.6739 5.3834
Cl 6.3034 1.1454 8.6831
Cl 9.0716 4.1660 0.2496
Cl 8.4143 1.9788 11.6026
Cl 9.5199 3.7805 5.9141
Cl 10.6274 5.3465 8.9021
Cl 8.8948 1.4111 2.7695
```